[1]
Diffraction record for SrCa8N4. The powder XRD pattern is calculated, not measured: it uses a crystal structure in Alexandria, relaxed with PBE and a wavelength of 1.5418 Å.

Atomic structure:
```
data_SrCa8N4
_chemical_formula_sum 'Sr2 Ca16 N8'
_cell_length_a 18.571
_cell_length_b 3.655
_cell_length_c 13.127
_cell_angle_alpha 90.00
_cell_angle_beta 134.97
_cell_angle_gamma 90.00
_symmetry_space_group_name_H-M 'C 1 2/m 1'
_symmetry_Int_Tables_number 12
_symmetry_space_group_name_Hall '-C 2y'
loop_
_atom_site_label
_atom_site_fract_x
_atom_site_fract_y
_atom_site_fract_z
_atom_site_occupancy
Sr1 0.000 0.000 0.000 1
Ca1 0.042 0.000 0.708 1
Ca2 0.159 0.500 0.367 1
Ca3 0.166 0.500 0.624 1
Ca4 0.209 0.500 0.050 1
N1 0.154 0.000 0.485 1
N2 0.169 0.500 0.822 1
```

Largest 10 diffraction maxima, sorted by position, 15 to 90 degrees two-theta:
2θ/deg	d/Å	Rel. int.
21.40	4.153	27.4
28.83	3.097	44.6
30.44	2.936	17.8
31.90	2.806	100.0
34.83	2.576	25.6
41.25	2.189	15.1
44.67	2.029	14.8
49.01	1.859	10.8
51.07	1.789	26.0
53.07	1.726	14.0


[2]
Diffraction record for Y4InSb. The powder XRD pattern is calculated, not measured: it uses a crystal structure in Alexandria, relaxed with PBE and a wavelength of 1.5418 Å.

Atomic structure:
```
data_Y4InSb
_chemical_formula_sum 'Y16 In4 Sb4'
_cell_length_a 8.932
_cell_length_b 8.932
_cell_length_c 8.932
_cell_angle_alpha 90.00
_cell_angle_beta 90.00
_cell_angle_gamma 90.00
_symmetry_space_group_name_H-M 'F -4 3 m'
_symmetry_Int_Tables_number 216
_symmetry_space_group_name_Hall 'F -4 2 3'
loop_
_atom_site_label
_atom_site_fract_x
_atom_site_fract_y
_atom_site_fract_z
_atom_site_occupancy
Y1 0.125 0.125 0.125 1
In1 0.250 0.250 0.750 1
Sb1 0.000 0.000 0.500 1
```

Largest 10 diffraction maxima, sorted by position, 15 to 90 degrees two-theta:
2θ/deg	d/Å	Rel. int.
28.26	3.158	35.6
33.27	2.693	100.0
34.79	2.579	31.7
50.02	1.823	14.3
53.29	1.719	33.8
58.45	1.579	28.0
68.94	1.362	11.4
69.85	1.347	11.7
80.46	1.194	7.0
83.05	1.163	20.5